(1)
Starting from a cell relaxed with GGA-PBE, the PXRD pattern of Mn3Cr3Si7Ni16 was computed for CuKα.
Kinematic intensities with the Lorentz-polarization factor, no thermal factor.

Atomic structure:
```
Mn3Cr3Si7Ni16
1.0
3.923 2.265 6.401
-3.923 2.265 6.401
0.000 -4.530 6.401
Mn Cr Si Ni
3 3 7 16
Direct
0.071 0.464 0.464 Mn
0.464 0.071 0.464 Mn
0.464 0.464 0.071 Mn
0.071 0.071 0.463 Cr
0.071 0.463 0.071 Cr
0.463 0.071 0.071 Cr
0.265 0.769 0.769 Si
0.269 0.269 0.771 Si
0.269 0.771 0.269 Si
0.769 0.265 0.769 Si
0.769 0.769 0.265 Si
0.769 0.769 0.769 Si
0.771 0.269 0.269 Si
0.101 0.101 0.101 Ni
0.104 0.104 0.763 Ni
0.104 0.763 0.104 Ni
0.121 0.650 0.650 Ni
0.415 0.885 0.885 Ni
0.433 0.433 0.433 Ni
0.435 0.435 0.771 Ni
0.435 0.771 0.435 Ni
0.650 0.121 0.650 Ni
0.650 0.650 0.121 Ni
0.651 0.651 0.651 Ni
0.763 0.104 0.104 Ni
0.771 0.435 0.435 Ni
0.885 0.415 0.885 Ni
0.885 0.885 0.415 Ni
0.886 0.886 0.886 Ni
```

Peak list (10 most intense, 2θ = 5–70°, in order of rising 2θ)
- 2θ 15.98, intensity 8.1
- 2θ 32.28, intensity 16.4
- 2θ 39.81, intensity 18.7
- 2θ 42.34, intensity 98.5
- 2θ 46.30, intensity 100.0
- 2θ 48.55, intensity 30.4
- 2θ 49.29, intensity 16.5
- 2θ 52.15, intensity 7.0
- 2θ 54.22, intensity 11.0
- 2θ 64.53, intensity 8.3



(2)
Starting from a cell relaxed with GGA-PBE, the PXRD pattern of CaY2BeO5 was computed for CuKα.
Kinematic intensities with the Lorentz-polarization factor, no thermal factor.

Atomic structure:
```
CaY2BeO5
1.0
9.284 0.000 0.000
0.000 6.370 0.000
0.000 0.000 6.980
Ca Y Be O
4 8 4 20
Direct
0.176 0.082 0.000 Ca
0.324 0.582 0.500 Ca
0.676 0.418 0.000 Ca
0.824 0.918 0.500 Ca
0.021 0.596 0.764 Y
0.174 0.072 0.545 Y
0.326 0.572 0.045 Y
0.479 0.096 0.264 Y
0.521 0.904 0.764 Y
0.674 0.428 0.545 Y
0.826 0.928 0.045 Y
0.979 0.404 0.264 Y
0.103 0.806 0.266 Be
0.397 0.306 0.766 Be
0.603 0.694 0.266 Be
0.897 0.194 0.766 Be
0.009 0.022 0.268 O
0.072 0.692 0.464 O
0.073 0.681 0.071 O
0.220 0.362 0.767 O
0.222 0.336 0.266 O
0.278 0.836 0.766 O
0.280 0.862 0.267 O
0.427 0.181 0.571 O
0.428 0.192 0.964 O
0.491 0.522 0.768 O
0.509 0.478 0.268 O
0.572 0.808 0.464 O
0.573 0.819 0.071 O
0.720 0.138 0.767 O
0.722 0.164 0.266 O
0.778 0.664 0.766 O
0.780 0.638 0.267 O
0.927 0.319 0.571 O
0.928 0.308 0.964 O
0.991 0.978 0.768 O
```

Peak list (10 most intense, 2θ = 5–70°, in order of rising 2θ)
- 2θ 21.17, intensity 19.6
- 2θ 29.65, intensity 20.2
- 2θ 30.76, intensity 52.5
- 2θ 32.13, intensity 100.0
- 2θ 32.37, intensity 31.5
- 2θ 39.52, intensity 37.1
- 2θ 41.37, intensity 31.0
- 2θ 43.11, intensity 23.0
- 2θ 47.03, intensity 25.9
- 2θ 48.94, intensity 18.0



(3)
Starting from a cell relaxed with GGA-PBE, the PXRD pattern of EuInPt was computed for CuKα.
Kinematic intensities with the Lorentz-polarization factor, no thermal factor.

Atomic structure:
```
EuInPt
1.0
7.464 0.000 0.000
0.000 4.512 0.000
0.000 0.000 8.576
Eu In Pt
4 4 4
Direct
0.032 0.250 0.178 Eu
0.468 0.750 0.678 Eu
0.532 0.250 0.322 Eu
0.968 0.750 0.822 Eu
0.148 0.250 0.564 In
0.352 0.750 0.064 In
0.648 0.250 0.936 In
0.852 0.750 0.436 In
0.230 0.750 0.377 Pt
0.270 0.250 0.877 Pt
0.730 0.750 0.123 Pt
0.770 0.250 0.623 Pt
```

Peak list (10 most intense, 2θ = 5–70°, in order of rising 2θ)
- 2θ 23.91, intensity 19.2
- 2θ 31.16, intensity 71.9
- 2θ 32.85, intensity 100.0
- 2θ 33.57, intensity 15.8
- 2θ 37.23, intensity 39.5
- 2θ 37.65, intensity 21.7
- 2θ 39.21, intensity 31.7
- 2θ 39.97, intensity 43.3
- 2θ 41.98, intensity 27.3
- 2θ 59.34, intensity 23.4